Structure and computed PXRD pattern of TlAgS2 (the GGA-PBE geometry in Alexandria; Cu Ka).
Kinematic intensities with the Lorentz-polarization factor, no thermal factor.

Structure:
a b c (Å): 4.708 6.443 7.879
angles (deg): 69.68 77.78 71.89
Atoms (fractional coordinates):
Tl 0.000 0.000 0.000
Tl 0.248 0.490 0.748
Ag 0.544 0.431 0.117
Ag 0.547 0.909 0.571
S 0.001 0.667 0.373
S 0.261 0.147 0.315
S 0.663 0.765 0.884
S 0.871 0.382 0.393

Peak list (12 most intense, 10 to 90 degrees two-theta, by angle)
| 2θ (°) | Rel. int. |
| --- | --- |
| 12.1 | 47 |
| 22.1 | 53 |
| 24.4 | 54 |
| 27.0 | 34 |
| 28.2 | 94 |
| 29.8 | 95 |
| 29.8 | 100 |
| 30.6 | 45 |
| 32.5 | 40 |
| 43.3 | 28 |
| 44.3 | 47 |
| 45.2 | 27 |

=====

Structure and computed PXRD pattern of Tl2AgS6 (the GGA-PBE geometry in Alexandria; Cu Ka).
Kinematic intensities with the Lorentz-polarization factor, no thermal factor.

Structure:
a b c (Å): 10.742 10.742 10.456
angles (deg): 102.89 102.89 23.22
Atoms (fractional coordinates):
Tl 0.122 0.196 0.065
Tl 0.196 0.122 0.565
Tl 0.804 0.878 0.435
Tl 0.878 0.804 0.935
Ag 0.472 0.528 0.750
Ag 0.528 0.472 0.250
S 0.010 0.030 0.920
S 0.030 0.010 0.420
S 0.276 0.343 0.607
S 0.342 0.417 0.271
S 0.343 0.276 0.107
S 0.417 0.342 0.771
S 0.583 0.658 0.229
S 0.657 0.724 0.893
S 0.658 0.583 0.729
S 0.724 0.657 0.393
S 0.970 0.990 0.580
S 0.990 0.970 0.080

Peak list (12 most intense, 10 to 90 degrees two-theta, by angle)
| 2θ (°) | Rel. int. |
| --- | --- |
| 21.2 | 42 |
| 21.6 | 30 |
| 24.4 | 35 |
| 26.1 | 47 |
| 26.8 | 100 |
| 34.3 | 13 |
| 37.5 | 24 |
| 38.0 | 36 |
| 41.8 | 17 |
| 42.3 | 22 |
| 42.8 | 17 |
| 45.0 | 15 |

=====

Structure and computed PXRD pattern of TlAg2S3 (the GGA-PBE geometry in Alexandria; Cu Ka).
Kinematic intensities with the Lorentz-polarization factor, no thermal factor.

Structure:
a b c (Å): 13.731 7.196 13.079
angles (deg): 79.50 31.02 69.48
Atoms (fractional coordinates):
Tl 0.072 0.428 0.089
Tl 0.161 0.839 0.178
Tl 0.428 0.072 0.411
Tl 0.839 0.161 0.822
Ag 0.246 0.246 0.254
Ag 0.332 0.672 0.338
Ag 0.498 0.498 0.502
Ag 0.591 0.912 0.578
Ag 0.672 0.332 0.659
Ag 0.748 0.748 0.752
Ag 0.912 0.591 0.918
Ag 0.996 0.996 0.004
S 0.040 0.211 0.795
S 0.125 0.631 0.867
S 0.211 0.040 0.954
S 0.296 0.455 0.039
S 0.383 0.873 0.125
S 0.455 0.296 0.210
S 0.548 0.693 0.288
S 0.631 0.125 0.377
S 0.693 0.548 0.471
S 0.779 0.962 0.557
S 0.873 0.383 0.619
S 0.962 0.779 0.702

Peak list (12 most intense, 10 to 90 degrees two-theta, by angle)
| 2θ (°) | Rel. int. |
| --- | --- |
| 26.3 | 100 |
| 30.4 | 10 |
| 30.5 | 19 |
| 43.6 | 45 |
| 43.8 | 9 |
| 51.6 | 15 |
| 51.8 | 30 |
| 54.2 | 8 |
| 69.9 | 6 |
| 69.9 | 6 |
| 80.0 | 6 |
| 80.2 | 6 |

=====

Structure and computed PXRD pattern of Tl2AgS3 (the GGA-PBE geometry in Alexandria; Cu Ka).
Kinematic intensities with the Lorentz-polarization factor, no thermal factor.

Structure:
a b c (Å): 7.431 7.431 7.625
angles (deg): 99.95 99.95 120.17
Atoms (fractional coordinates):
Tl 0.083 0.917 0.500
Tl 0.247 0.731 0.006
Tl 0.731 0.247 0.506
Tl 0.917 0.083 0.000
Ag 0.402 0.574 0.495
Ag 0.574 0.402 0.995
S 0.127 0.617 0.632
S 0.308 0.457 0.139
S 0.457 0.308 0.639
S 0.617 0.127 0.132
S 0.774 0.949 0.621
S 0.949 0.774 0.121

Peak list (12 most intense, 10 to 90 degrees two-theta, by angle)
| 2θ (°) | Rel. int. |
| --- | --- |
| 24.9 | 51 |
| 25.3 | 100 |
| 25.6 | 50 |
| 29.0 | 22 |
| 29.4 | 42 |
| 41.3 | 37 |
| 42.1 | 35 |
| 42.2 | 35 |
| 49.1 | 17 |
| 49.3 | 17 |
| 49.5 | 15 |
| 49.9 | 15 |

=====

Structure and computed PXRD pattern of TlAgS3 (the GGA-PBE geometry in Alexandria; Cu Ka).
Kinematic intensities with the Lorentz-polarization factor, no thermal factor.

Structure:
a b c (Å): 11.255 7.677 6.572
angles (deg): 90.00 90.00 90.00
Atoms (fractional coordinates):
Tl 0.156 0.250 0.208
Tl 0.344 0.750 0.708
Tl 0.656 0.250 0.292
Tl 0.844 0.750 0.792
Ag 0.000 0.000 0.500
Ag 0.000 0.500 0.500
Ag 0.500 0.000 0.000
Ag 0.500 0.500 0.000
S 0.149 0.034 0.757
S 0.149 0.466 0.757
S 0.247 0.250 0.669
S 0.253 0.750 0.169
S 0.351 0.534 0.257
S 0.351 0.966 0.257
S 0.649 0.034 0.743
S 0.649 0.466 0.743
S 0.747 0.250 0.831
S 0.753 0.750 0.331
S 0.851 0.534 0.243
S 0.851 0.966 0.243

Peak list (12 most intense, 10 to 90 degrees two-theta, by angle)
| 2θ (°) | Rel. int. |
| --- | --- |
| 15.6 | 30 |
| 17.8 | 65 |
| 19.6 | 100 |
| 20.8 | 25 |
| 27.4 | 31 |
| 28.1 | 85 |
| 31.3 | 88 |
| 31.5 | 37 |
| 33.7 | 39 |
| 36.0 | 33 |
| 36.7 | 25 |
| 42.3 | 26 |

=====

Structure and computed PXRD pattern of TlAgS2 (the GGA-PBE geometry in Alexandria; Cu Ka).
Kinematic intensities with the Lorentz-polarization factor, no thermal factor.

Structure:
a b c (Å): 8.929 9.330 5.252
angles (deg): 90.00 110.21 90.00
Atoms (fractional coordinates):
Tl 0.000 0.151 0.250
Tl 0.000 0.849 0.750
Tl 0.500 0.349 0.750
Tl 0.500 0.651 0.250
Ag 0.000 0.435 0.750
Ag 0.000 0.565 0.250
Ag 0.500 0.065 0.250
Ag 0.500 0.935 0.750
S 0.246 0.352 0.090
S 0.246 0.648 0.590
S 0.254 0.148 0.910
S 0.254 0.852 0.410
S 0.746 0.148 0.590
S 0.746 0.852 0.090
S 0.754 0.352 0.410
S 0.754 0.648 0.910

Peak list (12 most intense, 10 to 90 degrees two-theta, by angle)
| 2θ (°) | Rel. int. |
| --- | --- |
| 21.2 | 70 |
| 25.8 | 41 |
| 26.3 | 79 |
| 29.7 | 100 |
| 30.7 | 50 |
| 35.3 | 38 |
| 36.5 | 25 |
| 37.9 | 50 |
| 43.2 | 27 |
| 43.5 | 23 |
| 45.2 | 45 |
| 55.0 | 26 |

=====

Structure and computed PXRD pattern of Tl3AgS2 (the GGA-PBE geometry in Alexandria; Cu Ka).
Kinematic intensities with the Lorentz-polarization factor, no thermal factor.

Structure:
a b c (Å): 10.824 10.824 10.824
angles (deg): 151.18 52.44 137.18
Atoms (fractional coordinates):
Tl 0.058 0.750 0.308
Tl 0.250 0.250 0.000
Tl 0.442 0.750 0.692
Tl 0.558 0.250 0.308
Tl 0.750 0.750 0.000
Tl 0.942 0.250 0.692
Ag 0.000 0.500 0.500
Ag 0.500 0.000 0.500
S 0.106 0.717 0.823
S 0.394 0.217 0.611
S 0.606 0.783 0.389
S 0.894 0.283 0.177

Peak list (12 most intense, 10 to 90 degrees two-theta, by angle)
| 2θ (°) | Rel. int. |
| --- | --- |
| 18.3 | 18 |
| 21.5 | 57 |
| 22.5 | 22 |
| 27.6 | 20 |
| 28.4 | 22 |
| 31.3 | 100 |
| 33.3 | 21 |
| 40.5 | 17 |
| 43.2 | 27 |
| 43.7 | 21 |
| 51.2 | 12 |
| 58.2 | 18 |

=====

Structure and computed PXRD pattern of TlAgS2 (the GGA-PBE geometry in Alexandria; Cu Ka).
Kinematic intensities with the Lorentz-polarization factor, no thermal factor.

Structure:
a b c (Å): 6.796 6.796 8.970
angles (deg): 90.00 90.00 90.00
Atoms (fractional coordinates):
Tl 0.000 0.000 0.250
Tl 0.000 0.000 0.750
Tl 0.500 0.500 0.250
Tl 0.500 0.500 0.750
Ag 0.000 0.500 0.250
Ag 0.000 0.500 0.750
Ag 0.500 0.000 0.250
Ag 0.500 0.000 0.750
S 0.119 0.381 0.000
S 0.119 0.619 0.500
S 0.381 0.119 0.500
S 0.381 0.881 0.000
S 0.619 0.119 0.000
S 0.619 0.881 0.500
S 0.881 0.381 0.500
S 0.881 0.619 0.000

Peak list (12 most intense, 10 to 90 degrees two-theta, by angle)
| 2θ (°) | Rel. int. |
| --- | --- |
| 19.8 | 54 |
| 26.2 | 97 |
| 27.2 | 26 |
| 33.1 | 100 |
| 37.4 | 37 |
| 40.2 | 22 |
| 42.7 | 51 |
| 48.6 | 36 |
| 56.1 | 23 |
| 58.1 | 29 |
| 64.8 | 30 |
| 75.6 | 18 |